This entry pairs a crystal structure of Te7IrCl7 with its theoretical powder diffraction line list. Radiation: Cu Kα (λ = 1.5418 Å). Structure: a structure optimized by DFT (PBE).
Lines closer than 0.1° are merged.

Crystal structure
```
Te7IrCl7
1.0
9.4773 0.0000 0.0000
4.0616 9.5200 0.0000
4.6199 2.5829 10.3949
Te Ir Cl
14 2 14
Cartesian
1.1454 1.5582 0.1672 Te
2.7493 2.3832 3.5299 Te
4.2120 6.7355 2.0335 Te
3.7816 4.3307 0.3218 Te
7.0213 6.0847 7.2933 Te
9.5746 8.8878 7.5618 Te
8.2145 4.2970 9.1482 Te
9.9444 7.8060 1.2467 Te
8.5843 3.2152 2.8330 Te
11.1376 6.0182 3.1016 Te
14.3773 7.7722 10.0731 Te
13.9469 5.3674 8.3614 Te
15.4096 9.7197 6.8650 Te
17.0135 10.5448 10.2276 Te
7.2087 8.3509 8.7412 Ir
10.9502 3.7521 1.6536 Ir
5.2918 7.6119 5.5070 Cl
5.0705 1.8325 7.1701 Cl
6.8522 9.6968 2.1620 Cl
5.0616 2.4106 2.9554 Cl
10.6182 9.7220 9.9966 Cl
8.7454 8.5182 5.2597 Cl
7.8404 5.7555 2.7879 Cl
10.3185 6.3474 7.6070 Cl
9.4136 3.5847 5.1352 Cl
7.5407 2.3809 0.3982 Cl
13.0973 9.6924 7.4395 Cl
11.3067 2.4062 8.2329 Cl
13.0884 10.2705 3.2248 Cl
12.8671 4.4911 4.8879 Cl
```

Peak list (12 most intense, 10 to 80 degrees two-theta, low angle first)
| (hkl) | 2θ/deg | I_rel |
| --- | --- | --- |
| 1 0 0 | 10.6 | 100 |
| 1 1 1 | 11.2 | 96 |
| 1 0 1 | 11.5 | 62 |
| 1 -1 3 | 29.8 | 33 |
| 1 3 3 | 30.3 | 32 |
| 3 2 0 | 32.4 | 64 |
| 2 -1 3 | 33.7 | 34 |
| 0 3 3 | 34.0 | 34 |
| 4 1 3 | 40.1 | 17 |
| 1 -4 0 | 43.6 | 25 |
| 2 2 6 | 46.7 | 20 |
| 1 0 -6 | 57.4 | 20 |